No. 1
Starting from a structure optimized by DFT (GGA-PBE), the powder XRD pattern of GaAgSbOsPt was computed for Cu Ka.
Kinematic intensities with the Lorentz-polarization factor, no thermal factor.

Cell and atoms:
Cell: 4.3800 4.3800 5.5711 Å, 90.00 90.00 120.00°
Space group P3m1 (No. 156)
Symmetry-distinct sites (fractional):
Ga 0.0000 0.0000 0.0000 (multiplicity 1)
Ag 0.6667 0.3333 0.2681 (multiplicity 1)
Sb 0.3333 0.6667 0.5384 (multiplicity 1)
Os 0.3333 0.6667 0.0333 (multiplicity 1)
Pt 0.6667 0.3333 0.7622 (multiplicity 1)

Principal peaks in the range 2θ = 10–80°, low angle first:
d [Å], 2θ (°), Rel. int.
5.571, 15.91, 14
3.793, 23.45, 38
3.135, 28.47, 10
2.245, 40.16, 100
2.190, 41.22, 77
2.038, 44.45, 7
1.897, 47.97, 6
1.568, 58.91, 32
1.275, 74.42, 32
1.264, 75.14, 13



No. 2
Starting from a structure optimized by DFT (GGA-PBE), the powder XRD pattern of Cs4InGe3I12 was computed for Cu Ka.
Kinematic intensities with the Lorentz-polarization factor, no thermal factor.

Cell and atoms:
Cell: 12.0690 12.0690 12.0690 Å, 90.00 90.00 90.00°
Space group Im-3m (No. 229)
Symmetry-distinct sites (fractional):
Cs 0.2500 0.2500 0.2500 (multiplicity 8)
In 0.0000 0.0000 0.0000 (multiplicity 2)
Ge 0.0000 0.0000 0.5000 (multiplicity 6)
I 0.0000 0.0000 0.2547 (multiplicity 12)
I 0.0000 0.2500 0.5000 (multiplicity 12)

Principal peaks in the range 2θ = 10–80°, low angle first:
d [Å], 2θ (°), Rel. int.
4.267, 20.82, 11
3.484, 25.57, 98
3.017, 29.61, 100
2.134, 42.36, 74
1.819, 50.14, 45
1.742, 52.53, 26
1.509, 61.46, 12
1.384, 67.68, 18
1.349, 69.69, 33
1.232, 77.49, 25



No. 3
Starting from a structure optimized by DFT (GGA-PBE), the powder XRD pattern of Sc2SnGe2Rh5 was computed for Cu Ka.
Kinematic intensities with the Lorentz-polarization factor, no thermal factor.

Cell and atoms:
Cell: 9.5033 9.5033 3.6521 Å, 90.00 90.00 90.00°
Space group P4/mbm (No. 127)
Symmetry-distinct sites (fractional):
Sc 0.1735 0.3265 0.0000 (multiplicity 4)
Sn 0.0000 0.0000 0.0000 (multiplicity 2)
Ge 0.1247 0.6247 0.0000 (multiplicity 4)
Rh 0.0000 0.5000 0.5000 (multiplicity 2)
Rh 0.0714 0.7914 0.5000 (multiplicity 8)

Principal peaks in the range 2θ = 10–80°, low angle first:
d [Å], 2θ (°), Rel. int.
4.250, 20.90, 27
2.473, 36.33, 21
2.321, 38.81, 100
2.305, 39.08, 28
2.137, 42.29, 41
2.125, 42.54, 22
1.949, 46.60, 11
1.826, 49.94, 22
1.431, 65.18, 12
1.261, 75.36, 14



No. 4
Starting from a structure optimized by DFT (GGA-PBE), the powder XRD pattern of Ac2SnP was computed for Cu Ka.
Kinematic intensities with the Lorentz-polarization factor, no thermal factor.

Cell and atoms:
Cell: 4.6927 25.3578 4.4988 Å, 90.00 90.00 90.00°
Space group Cmcm (No. 63)
Symmetry-distinct sites (fractional):
Ac 0.0000 0.0723 0.2500 (multiplicity 4)
Ac 0.0000 0.3091 0.2500 (multiplicity 4)
Sn 0.0000 0.4598 0.2500 (multiplicity 4)
P 0.0000 0.1900 0.2500 (multiplicity 4)

Principal peaks in the range 2θ = 10–80°, low angle first:
d [Å], 2θ (°), Rel. int.
3.669, 24.26, 46
3.444, 25.87, 58
3.221, 27.69, 100
3.170, 28.15, 45
3.031, 29.46, 23
2.418, 37.18, 38
2.346, 38.36, 29
2.249, 40.09, 25
2.128, 42.48, 27
1.885, 48.29, 44



No. 5
Starting from a structure optimized by DFT (GGA-PBE), the powder XRD pattern of ZrSI was computed for Cu Ka.
Kinematic intensities with the Lorentz-polarization factor, no thermal factor.

Cell and atoms:
Cell: 3.8795 5.0840 10.0366 Å, 90.00 100.71 90.00°
Space group P2_1/m (No. 11)
Symmetry-distinct sites (fractional):
Zr 0.2122 0.2500 0.4213 (multiplicity 2)
S 0.2029 0.7500 0.4020 (multiplicity 2)
I 0.3973 0.7500 0.8066 (multiplicity 2)

Principal peaks in the range 2θ = 10–80°, low angle first:
d [Å], 2θ (°), Rel. int.
4.519, 19.65, 100
3.806, 23.37, 16
2.799, 31.98, 42
2.786, 32.13, 42
2.777, 32.24, 43
2.755, 32.49, 42
2.542, 35.31, 35
2.218, 40.67, 27
1.875, 48.56, 26
1.868, 48.74, 26



No. 6
Starting from a structure optimized by DFT (GGA-PBE), the powder XRD pattern of Pr3Er3Mg2 was computed for Cu Ka.
Kinematic intensities with the Lorentz-polarization factor, no thermal factor.

Cell and atoms:
Cell: 5.3738 11.8303 15.7960 Å, 90.00 90.00 90.00°
Space group Cmcm (No. 63)
Symmetry-distinct sites (fractional):
Pr 0.0000 0.0371 0.1045 (multiplicity 8)
Pr 0.0000 0.2493 0.2500 (multiplicity 4)
Er 0.0000 0.3557 0.0354 (multiplicity 8)
Er 0.0000 0.4762 0.7500 (multiplicity 4)
Mg 0.0000 0.2330 0.6430 (multiplicity 8)

Principal peaks in the range 2θ = 10–80°, low angle first:
d [Å], 2θ (°), Rel. int.
4.674, 18.99, 29
3.179, 28.07, 24
3.073, 29.06, 100
2.950, 30.30, 76
2.770, 32.32, 34
2.722, 32.91, 60
2.687, 33.35, 57
2.654, 33.77, 36
1.929, 47.12, 24
1.562, 59.13, 18



No. 7
Starting from a structure optimized by DFT (GGA-PBE), the powder XRD pattern of Ho2B6Rh was computed for Cu Ka.
Kinematic intensities with the Lorentz-polarization factor, no thermal factor.

Cell and atoms:
Cell: 9.1660 11.4911 3.6508 Å, 90.00 90.00 90.00°
Space group Pbam (No. 55)
Symmetry-distinct sites (fractional):
Ho 0.0554 0.1257 0.0000 (multiplicity 4)
Ho 0.1767 0.4129 0.0000 (multiplicity 4)
B 0.0175 0.2874 0.5000 (multiplicity 4)
B 0.0525 0.5664 0.5000 (multiplicity 4)
B 0.1132 0.9691 0.5000 (multiplicity 4)
B 0.1337 0.8155 0.5000 (multiplicity 4)
B 0.2061 0.2348 0.5000 (multiplicity 4)
B 0.2491 0.5795 0.5000 (multiplicity 4)
Rh 0.1393 0.6785 0.0000 (multiplicity 4)

Principal peaks in the range 2θ = 10–80°, low angle first:
d [Å], 2θ (°), Rel. int.
3.651, 24.38, 100
2.953, 30.27, 40
2.939, 30.41, 37
2.873, 31.13, 27
2.698, 33.21, 25
2.296, 39.24, 52
2.289, 39.36, 45
2.258, 39.93, 34
2.192, 41.18, 31
2.170, 41.63, 33



No. 8
Starting from a structure optimized by DFT (GGA-PBE), the powder XRD pattern of Y12Ho2Tm5 was computed for Cu Ka.
Kinematic intensities with the Lorentz-polarization factor, no thermal factor.

Cell and atoms:
Cell: 6.4858 8.8340 11.3819 Å, 109.01 92.98 98.43°
Space group P-1 (No. 2)
Symmetry-distinct sites (fractional):
Y 0.0260 0.2053 0.1372 (multiplicity 2)
Y 0.1656 0.8725 0.5747 (multiplicity 2)
Y 0.2041 0.1671 0.8575 (multiplicity 2)
Y 0.2772 0.5956 0.0419 (multiplicity 2)
Y 0.4441 0.6568 0.7685 (multiplicity 2)
Y 0.4678 0.2594 0.6283 (multiplicity 2)
Ho 0.2347 0.4440 0.4597 (multiplicity 2)
Tm 0.0103 0.3885 0.7170 (multiplicity 2)
Tm 0.3038 0.0095 0.2991 (multiplicity 2)
Tm 0.5000 0.0000 0.0000 (multiplicity 1)

Principal peaks in the range 2θ = 10–80°, low angle first:
d [Å], 2θ (°), Rel. int.
2.864, 31.23, 25
2.839, 31.51, 100
2.829, 31.63, 84
2.810, 31.84, 43
2.765, 32.37, 48
2.753, 32.53, 38
2.738, 32.71, 87
2.696, 33.23, 42
2.648, 33.85, 32
2.546, 35.26, 27



No. 9
Starting from a structure optimized by DFT (GGA-PBE), the powder XRD pattern of CoHRu was computed for Cu Ka.
Kinematic intensities with the Lorentz-polarization factor, no thermal factor.

Cell and atoms:
Cell: 8.8866 2.7164 4.5488 Å, 90.00 101.11 90.00°
Space group Cm (No. 8)
Symmetry-distinct sites (fractional):
Co 0.0000 0.0000 0.0000 (multiplicity 2)
Co 0.2451 0.5000 0.2292 (multiplicity 2)
H 0.1336 0.0000 0.3434 (multiplicity 2)
H 0.3718 0.5000 0.6129 (multiplicity 2)
Ru 0.2485 0.0000 0.7626 (multiplicity 2)
Ru 0.4993 0.0000 0.4951 (multiplicity 2)

Principal peaks in the range 2θ = 10–80°, low angle first:
d [Å], 2θ (°), Rel. int.
3.471, 25.66, 8
2.189, 41.25, 100
2.180, 41.42, 50
2.163, 41.76, 48
1.909, 47.63, 67
1.848, 49.32, 29
1.358, 69.18, 11
1.342, 70.13, 10
1.332, 70.75, 19
1.324, 71.24, 18



No. 10
Starting from a structure optimized by DFT (GGA-PBE), the powder XRD pattern of Hg4Te5Pb2 was computed for Cu Ka.
Kinematic intensities with the Lorentz-polarization factor, no thermal factor.

Cell and atoms:
Cell: 4.6355 4.6355 62.2599 Å, 90.00 90.00 120.00°
Space group R-3m (No. 166, hexagonal axes)
Symmetry-distinct sites (fractional):
Hg 0.0000 0.0000 0.0842 (multiplicity 6)
Hg 0.0000 0.0000 0.1841 (multiplicity 6)
Te 0.0000 0.0000 0.0000 (multiplicity 3)
Te 0.0000 0.0000 0.1300 (multiplicity 6)
Te 0.0000 0.0000 0.2726 (multiplicity 6)
Pb 0.0000 0.0000 0.3635 (multiplicity 6)

Principal peaks in the range 2θ = 10–80°, low angle first:
d [Å], 2θ (°), Rel. int.
4.006, 22.19, 18
3.887, 22.88, 20
3.274, 27.23, 75
2.316, 38.89, 100
1.925, 47.20, 11
1.892, 48.09, 20
1.637, 56.19, 15
1.466, 63.47, 16
1.463, 63.59, 11
1.338, 70.39, 25



No. 11
Starting from a structure optimized by DFT (GGA-PBE), the powder XRD pattern of LiMgPa2Pt4 was computed for Cu Ka.
Kinematic intensities with the Lorentz-polarization factor, no thermal factor.

Cell and atoms:
Cell: 4.8206 4.8206 22.9880 Å, 90.00 90.00 120.00°
Space group R-3m (No. 166, hexagonal axes)
Symmetry-distinct sites (fractional):
Li 0.0000 0.0000 0.0000 (multiplicity 3)
Mg 0.0000 0.0000 0.5000 (multiplicity 3)
Pa 0.0000 0.0000 0.2519 (multiplicity 6)
Pt 0.0000 0.0000 0.1212 (multiplicity 6)
Pt 0.0000 0.0000 0.3794 (multiplicity 6)

Principal peaks in the range 2θ = 10–80°, low angle first:
d [Å], 2θ (°), Rel. int.
3.924, 22.66, 33
3.831, 23.22, 20
3.378, 26.39, 12
2.410, 37.31, 100
2.367, 38.02, 92
2.040, 44.40, 23
1.689, 54.32, 34
1.392, 67.28, 18
1.383, 67.75, 35
1.359, 69.15, 15



No. 12
Starting from a structure optimized by DFT (GGA-PBE), the powder XRD pattern of Ce2InCo was computed for Cu Ka.
Kinematic intensities with the Lorentz-polarization factor, no thermal factor.

Cell and atoms:
Cell: 4.7240 11.0934 6.8408 Å, 90.00 90.00 90.00°
Space group Ima2 (No. 46)
Symmetry-distinct sites (fractional):
Ce 0.2500 0.1115 0.0000 (multiplicity 4)
Ce 0.2500 0.6931 0.7298 (multiplicity 4)
In 0.2500 0.0925 0.5201 (multiplicity 4)
Co 0.2500 0.5824 0.2952 (multiplicity 4)

Principal peaks in the range 2θ = 10–80°, low angle first:
d [Å], 2θ (°), Rel. int.
3.253, 27.42, 17
2.912, 30.71, 53
2.773, 32.28, 15
2.688, 33.33, 100
2.362, 38.10, 39
2.258, 39.93, 22
2.217, 40.69, 34
2.154, 41.94, 12
1.591, 57.95, 12
1.419, 65.84, 14